This entry pairs a crystal structure of BaTbV2O8 with its simulated XRD peak list. Radiation: Cu Kα. Structure: a cell relaxed with PBE+U.

Structure:
abc: 5.7934 5.7934 7.6867
angles: 90.00 90.00 120.00
Space group P-3 (No. 147)
Inequivalent atoms, fractional coordinates:
Ba: 0.0000 0.0000 0.0000 (multiplicity 1)
Tb: 0.0000 0.0000 0.5000 (multiplicity 1)
V: 0.3333 0.6667 0.7690 (multiplicity 2)
O: 0.1665 0.3353 0.6974 (multiplicity 6)
O: 0.3333 0.6667 0.9900 (multiplicity 2)

Most intense lines, 5 to 70 degrees two-theta, low angle first:
2θ 17.68, I = 99, (1 0 0); 2θ 21.15, I = 43, (0 1 1); 2θ 29.27, I = 100, (1 0 2); 2θ 30.87, I = 70, (1 1 0); 2θ 38.93, I = 31, (2 -1 2); 2θ 43.06, I = 49, (0 2 2); 2θ 47.97, I = 16, (1 2 0); 2θ 50.89, I = 14, (0 1 4); 2θ 53.91, I = 36, (2 1 2); 2θ 57.56, I = 24, (1 1 4)